Entry 1:
Structure and theoretical powder XRD pattern of LiV2O3F3 (DFT lattice parameters and positions (PBE+U); Cu Kα, 1.54184 Å).
Lines closer than 0.1° are merged.

Crystal structure
```
data_LiV2O3F3
_symmetry_space_group_name_H-M 'P 1'
_symmetry_Int_Tables_number 1
_cell_length_a 5.114
_cell_length_b 5.124
_cell_length_c 13.513
_cell_angle_alpha 89.97
_cell_angle_beta 88.83
_cell_angle_gamma 60.74
loop_
_symmetry_equiv_pos_as_xyz
'x,y,z'
loop_
_atom_site_label
_atom_site_type_symbol
_atom_site_fract_x
_atom_site_fract_y
_atom_site_fract_z
_atom_site_occupancy
Li1 Li 0.000 0.000 0.000 1
Li2 Li 0.311 0.354 0.334 1
Li3 Li 0.632 0.680 0.670 1
V1 V 0.281 0.371 0.113 1
V2 V 0.326 0.328 0.626 1
V3 V 0.656 0.662 0.959 1
V4 V 0.666 0.709 0.447 1
V5 V 0.965 0.963 0.782 1
V6 V 0.988 0.057 0.292 1
O1 O 0.230 0.101 0.213 1
O2 O 0.269 0.657 0.710 1
O3 O 0.375 0.632 0.043 1
O4 O 0.403 0.027 0.549 1
O5 O 0.651 0.054 0.713 1
O6 O 0.696 0.968 0.373 1
O7 O 0.889 0.735 0.879 1
O8 O 0.941 0.351 0.383 1
O9 O 0.994 0.389 0.044 1
F1 F 0.015 0.296 0.709 1
F2 F 0.049 0.681 0.213 1
F3 F 0.287 0.940 0.881 1
F4 F 0.316 0.727 0.376 1
F5 F 0.585 0.444 0.547 1
F6 F 0.618 0.019 0.045 1
F7 F 0.622 0.301 0.216 1
F8 F 0.720 0.310 0.884 1
F9 F 0.976 0.630 0.547 1
```

Most intense lines, 2θ = 10–80°, low angle first:
d = 3.762 Å, 2θ = 23.6°, I 100, (1 0 2)
d = 3.709 Å, 2θ = 24.0°, I 97, (0 1 2)
d = 3.676 Å, 2θ = 24.2°, I 97, (1 1 -2)
d = 2.709 Å, 2θ = 33.1°, I 20, (0 1 -4)
d = 2.699 Å, 2θ = 33.2°, I 20, (1 1 4)
d = 2.663 Å, 2θ = 33.7°, I 21, (1 0 -4)
d = 2.226 Å, 2θ = 40.5°, I 32, (1 2 3)
d = 1.881 Å, 2θ = 48.4°, I 21, (2 0 4)
d = 1.855 Å, 2θ = 49.1°, I 18, (0 2 4)
d = 1.838 Å, 2θ = 49.6°, I 18, (2 2 -4)

Entry 2:
Structure and theoretical powder XRD pattern of BaCo4O8 (DFT lattice parameters and positions (PBE+U); Cu Kα, 1.54184 Å).
Lines closer than 0.1° are merged.

Crystal structure
```
data_BaCo4O8
_symmetry_space_group_name_H-M 'P 1'
_symmetry_Int_Tables_number 1
_cell_length_a 5.586
_cell_length_b 5.586
_cell_length_c 7.755
_cell_angle_alpha 90.00
_cell_angle_beta 90.00
_cell_angle_gamma 120.00
loop_
_symmetry_equiv_pos_as_xyz
'x,y,z'
loop_
_atom_site_label
_atom_site_type_symbol
_atom_site_fract_x
_atom_site_fract_y
_atom_site_fract_z
_atom_site_occupancy
Ba1 Ba 0.000 0.000 0.000 1
Co1 Co 0.333 0.667 0.239 1
Co2 Co 0.333 0.667 0.761 1
Co3 Co 0.667 0.333 0.239 1
Co4 Co 0.667 0.333 0.761 1
O1 O 0.000 0.358 0.284 1
O2 O 0.000 0.642 0.716 1
O3 O 0.333 0.667 0.000 1
O4 O 0.358 0.000 0.284 1
O5 O 0.358 0.358 0.716 1
O6 O 0.642 0.000 0.716 1
O7 O 0.642 0.642 0.284 1
O8 O 0.667 0.333 0.000 1
```

Most intense lines, 2θ = 10–80°, low angle first:
d = 7.755 Å, 2θ = 11.4°, I 68, (0 0 1)
d = 4.105 Å, 2θ = 21.7°, I 40, (1 0 1)
d = 3.026 Å, 2θ = 29.5°, I 100, (1 0 2)
d = 2.793 Å, 2θ = 32.0°, I 89, (1 1 0)
d = 2.628 Å, 2θ = 34.1°, I 50, (2 -1 1)
d = 2.052 Å, 2θ = 44.1°, I 27, (2 0 2)
d = 1.654 Å, 2θ = 55.6°, I 30, (3 -1 2)
d = 1.613 Å, 2θ = 57.1°, I 28, (3 0 0)
d = 1.593 Å, 2θ = 57.9°, I 32, (2 -1 4)
d = 1.240 Å, 2θ = 76.9°, I 18, (3 0 4)

Entry 3:
Structure and theoretical powder XRD pattern of Li3FeF6 (DFT lattice parameters and positions (PBE+U); Cu Kα, 1.54184 Å).
Lines closer than 0.1° are merged.

Crystal structure
```
data_Li3FeF6
_symmetry_space_group_name_H-M 'P 1'
_symmetry_Int_Tables_number 1
_cell_length_a 9.829
_cell_length_b 8.597
_cell_length_c 5.079
_cell_angle_alpha 90.00
_cell_angle_beta 90.00
_cell_angle_gamma 90.00
loop_
_symmetry_equiv_pos_as_xyz
'x,y,z'
loop_
_atom_site_label
_atom_site_type_symbol
_atom_site_fract_x
_atom_site_fract_y
_atom_site_fract_z
_atom_site_occupancy
Li1 Li 0.106 0.045 0.000 1
Li2 Li 0.126 0.647 0.510 1
Li3 Li 0.146 0.453 0.004 1
Li4 Li 0.354 0.953 0.504 1
Li5 Li 0.374 0.147 0.010 1
Li6 Li 0.394 0.545 0.500 1
Li7 Li 0.606 0.455 0.000 1
Li8 Li 0.626 0.853 0.510 1
Li9 Li 0.646 0.047 0.004 1
Li10 Li 0.854 0.547 0.504 1
Li11 Li 0.874 0.353 0.010 1
Li12 Li 0.894 0.955 0.500 1
Fe1 Fe 0.128 0.259 0.502 1
Fe2 Fe 0.372 0.759 0.002 1
Fe3 Fe 0.628 0.241 0.502 1
Fe4 Fe 0.872 0.741 0.002 1
F1 F 0.009 0.415 0.322 1
F2 F 0.022 0.255 0.826 1
F3 F 0.025 0.091 0.344 1
F4 F 0.227 0.441 0.648 1
F5 F 0.239 0.269 0.185 1
F6 F 0.249 0.112 0.686 1
F7 F 0.251 0.612 0.186 1
F8 F 0.261 0.769 0.685 1
F9 F 0.273 0.941 0.148 1
F10 F 0.475 0.591 0.844 1
F11 F 0.478 0.755 0.326 1
F12 F 0.491 0.915 0.822 1
F13 F 0.509 0.085 0.322 1
F14 F 0.522 0.245 0.826 1
F15 F 0.525 0.409 0.344 1
F16 F 0.727 0.059 0.648 1
F17 F 0.739 0.231 0.185 1
F18 F 0.749 0.388 0.686 1
F19 F 0.751 0.888 0.186 1
F20 F 0.761 0.731 0.685 1
F21 F 0.773 0.559 0.148 1
F22 F 0.975 0.909 0.844 1
F23 F 0.978 0.745 0.326 1
F24 F 0.991 0.585 0.822 1
```

Most intense lines, 2θ = 10–80°, low angle first:
d = 4.373 Å, 2θ = 20.3°, I 59, (0 1 1)
d = 4.298 Å, 2θ = 20.7°, I 29, (0 2 0)
d = 4.266 Å, 2θ = 20.8°, I 100, (2 1 0)
d = 3.532 Å, 2θ = 25.2°, I 40, (2 0 1)
d = 2.729 Å, 2θ = 32.8°, I 42, (2 2 1)
d = 2.256 Å, 2θ = 40.0°, I 28, (2 0 2)
d = 2.225 Å, 2θ = 40.5°, I 55, (2 3 1)
d = 2.183 Å, 2θ = 41.4°, I 20, (2 1 2)
d = 1.766 Å, 2θ = 51.8°, I 24, (4 0 2)
d = 1.751 Å, 2θ = 52.2°, I 35, (4 3 1)